This entry pairs a crystal structure of BiSeBr with its computed X-ray diffraction stick pattern. Radiation: Cu Ka. Structure: the PBE geometry in the Materials Project.
Peak positions follow from Bragg's law for the DFT cell and can differ from measured ones.

Cell and atoms:
```
data_BiSeBr
_chemical_formula_sum 'Bi4 Se4 Br4'
_cell_length_a 8.5627
_cell_length_b 4.1668
_cell_length_c 11.0165
_cell_angle_alpha 90.00
_cell_angle_beta 90.00
_cell_angle_gamma 90.00
_space_group_name_H-M_alt 'P 1'
_space_group_IT_number 1
loop_
_space_group_symop_operation_xyz
'x,y,z'
loop_
_atom_site_label
_atom_site_type_symbol
_atom_site_fract_x
_atom_site_fract_y
_atom_site_fract_z
Bi1 Bi 0.1164 0.2500 0.1327
Bi2 Bi 0.3836 0.7500 0.6327
Bi3 Bi 0.6164 0.2500 0.3673
Bi4 Bi 0.8836 0.7500 0.8673
Se1 Se 0.1816 0.7500 0.9597
Se2 Se 0.3184 0.2500 0.4597
Se3 Se 0.6816 0.7500 0.5403
Se4 Se 0.8184 0.2500 0.0403
Br1 Br 0.0250 0.2500 0.6961
Br2 Br 0.4750 0.7500 0.1961
Br3 Br 0.5250 0.2500 0.8039
Br4 Br 0.9750 0.7500 0.3039
```

Main lines, in order of rising 2θ (10° ≤ 2θ ≤ 80°):
Position (°2θ)	d (Å)	I (rel.)
13.10	6.761	74
19.16	4.633	32
28.82	3.098	100
29.92	2.986	27
32.46	2.758	62
34.18	2.623	49
35.42	2.534	24
44.77	2.025	33

This entry pairs a crystal structure of Bi3Se4Br with its computed X-ray diffraction stick pattern. Radiation: Cu Ka. Structure: the PBE geometry in the Materials Project.
Peak positions follow from Bragg's law for the DFT cell and can differ from measured ones.

Cell and atoms:
```
data_Bi3Se4Br
_chemical_formula_sum 'Bi6 Se8 Br2'
_cell_length_a 10.7730
_cell_length_b 10.7730
_cell_length_c 12.2032
_cell_angle_alpha 113.49
_cell_angle_beta 113.49
_cell_angle_gamma 22.08
_space_group_name_H-M_alt 'P 1'
_space_group_IT_number 1
loop_
_space_group_symop_operation_xyz
'x,y,z'
loop_
_atom_site_label
_atom_site_type_symbol
_atom_site_fract_x
_atom_site_fract_y
_atom_site_fract_z
Bi1 Bi 0.0891 0.0891 0.4627
Bi2 Bi 0.1516 0.1516 0.9146
Bi3 Bi 0.3273 0.3273 0.7627
Bi4 Bi 0.6727 0.6727 0.2373
Bi5 Bi 0.8484 0.8484 0.0854
Bi6 Bi 0.9109 0.9109 0.5373
Se1 Se 0.0770 0.0770 0.2270
Se2 Se 0.2535 0.2535 0.1426
Se3 Se 0.3135 0.3135 0.4816
Se4 Se 0.4144 0.4144 0.0080
Se5 Se 0.5856 0.5856 0.9920
Se6 Se 0.6865 0.6865 0.5184
Se7 Se 0.7465 0.7465 0.8574
Se8 Se 0.9230 0.9230 0.7730
Br1 Br 0.4567 0.4567 0.3346
Br2 Br 0.5433 0.5433 0.6654
```

Main lines, in order of rising 2θ (10° ≤ 2θ ≤ 80°):
Position (°2θ)	d (Å)	I (rel.)
14.36	6.167	33
18.36	4.831	27
23.54	3.780	27
27.11	3.290	45
29.02	3.077	29
30.30	2.950	100
42.84	2.111	25
43.89	2.063	31

This entry pairs a crystal structure of BiW3Br9 with its computed X-ray diffraction stick pattern. Radiation: Cu Ka. Structure: the PBE geometry in the Materials Project.
Peak positions follow from Bragg's law for the DFT cell and can differ from measured ones.

Cell and atoms:
```
data_BiW3Br9
_chemical_formula_sum 'Bi4 W12 Br36'
_cell_length_a 10.0203
_cell_length_b 13.3860
_cell_length_c 13.0207
_cell_angle_alpha 90.00
_cell_angle_beta 102.23
_cell_angle_gamma 90.00
_space_group_name_H-M_alt 'P 1'
_space_group_IT_number 1
loop_
_space_group_symop_operation_xyz
'x,y,z'
loop_
_atom_site_label
_atom_site_type_symbol
_atom_site_fract_x
_atom_site_fract_y
_atom_site_fract_z
Bi1 Bi 0.0106 0.1421 0.0994
Bi2 Bi 0.0106 0.3579 0.5994
Bi3 Bi 0.9894 0.6421 0.4006
Bi4 Bi 0.9894 0.8579 0.9006
W1 W 0.3593 0.0639 0.5489
W2 W 0.3593 0.4361 0.0489
W3 W 0.4064 0.6221 0.9955
W4 W 0.4064 0.8779 0.4955
W5 W 0.4101 0.0269 0.3612
W6 W 0.4101 0.4731 0.8612
W7 W 0.5899 0.5269 0.1388
W8 W 0.5899 0.9731 0.6388
W9 W 0.5936 0.1221 0.5045
W10 W 0.5936 0.3779 0.0045
W11 W 0.6407 0.5639 0.9511
W12 W 0.6407 0.9361 0.4511
Br1 Br 0.0238 0.6888 0.2089
Br2 Br 0.0238 0.8112 0.7089
Br3 Br 0.0774 0.0489 0.8827
Br4 Br 0.0774 0.4511 0.3827
Br5 Br 0.1592 0.1483 0.6203
Br6 Br 0.1592 0.3517 0.1203
Br7 Br 0.1783 0.5331 0.9055
Br8 Br 0.1783 0.9669 0.4055
Br9 Br 0.2820 0.7004 0.4957
Br10 Br 0.2820 0.7996 0.9957
Br11 Br 0.2923 0.0678 0.1614
Br12 Br 0.2923 0.4322 0.6614
Br13 Br 0.3569 0.5836 0.1844
Br14 Br 0.3569 0.9164 0.6844
Br15 Br 0.3631 0.2124 0.4151
Br16 Br 0.3631 0.2876 0.9151
Br17 Br 0.4572 0.6580 0.8068
Br18 Br 0.4572 0.8420 0.3068
Br19 Br 0.5428 0.1580 0.6932
Br20 Br 0.5428 0.3420 0.1932
Br21 Br 0.6369 0.7124 0.0849
Br22 Br 0.6369 0.7876 0.5849
Br23 Br 0.6431 0.0836 0.3156
Br24 Br 0.6431 0.4164 0.8156
Br25 Br 0.7077 0.5678 0.3386
Br26 Br 0.7077 0.9322 0.8386
Br27 Br 0.7180 0.2004 0.0043
Br28 Br 0.7180 0.2996 0.5043
Br29 Br 0.8217 0.0331 0.5945
Br30 Br 0.8217 0.4669 0.0945
Br31 Br 0.8408 0.6483 0.8797
Br32 Br 0.8408 0.8517 0.3797
Br33 Br 0.9226 0.5489 0.6173
Br34 Br 0.9226 0.9511 0.1173
Br35 Br 0.9762 0.1888 0.2911
Br36 Br 0.9762 0.3112 0.7911
```

Main lines, in order of rising 2θ (10° ≤ 2θ ≤ 80°):
Position (°2θ)	d (Å)	I (rel.)
12.13	7.296	100
13.92	6.363	14
14.17	6.252	44
28.39	3.143	13
28.57	3.124	15
40.77	2.213	17
42.35	2.134	13
43.94	2.061	13